Starting from a GGA+U-relaxed structure, the X-ray powder pattern of ThNiAs2O8 was computed for Cu Kα X-rays.

Top 8 peaks for 15° ≤ 2θ ≤ 90°, in order of rising 2θ:
h k l  d_spacing  Rel. int.
1 0 0  4.917  65
1 0 1  3.850  100
1 1 0  2.839  76
0 1 2  2.619  56
1 1 2  2.092  29
2 0 2  1.925  32
2 1 1  1.780  24
1 2 2  1.593  25

Structure:
```
data_ThNiAs2O8
_chemical_formula_sum 'Th1 Ni1 As2 O8'
_cell_length_a 5.6777
_cell_length_b 5.6777
_cell_length_c 6.1881
_cell_angle_alpha 90.00
_cell_angle_beta 90.00
_cell_angle_gamma 120.00
_space_group_name_H-M_alt 'P -3 m 1'
_space_group_IT_number 164
_space_group_name_Hall '-P 3 2"'
loop_
_atom_site_label
_atom_site_fract_x
_atom_site_fract_y
_atom_site_fract_z
Th1 0.0000 0.0000 0.0000
Ni1 0.0000 0.0000 0.5000
As1 0.3333 0.6667 0.6327
O1 0.1674 0.3349 0.7395
O2 0.3333 0.6667 0.3670
```